1.
# MgFe3Co5O16
Computed powder diffractogram, a wavelength of 1.5418 Å. Input: a cell relaxed with PBE+U.
Intensities are scaled so that the largest is 100.

Main lines, low angle first (15 to 90 degrees two-theta):
| 2θ/deg | d (Å) | I_rel |
| --- | --- | --- |
| 19.98 | 4.444 | 100 |
| 20.25 | 4.386 | 73 |
| 20.60 | 4.311 | 73 |
| 20.77 | 4.277 | 58 |
| 27.17 | 3.282 | 37 |
| 36.66 | 2.451 | 37 |
| 37.23 | 2.415 | 42 |
| 37.35 | 2.408 | 69 |
| 47.25 | 1.924 | 47 |
| 64.04 | 1.454 | 30 |

Atomic structure:
Cell: 5.6728 5.7310 8.8901 Å, 89.98 89.10 61.33°
Element x y z (fractional)
Mg (0.0000, 0.0000, 0.0000)
Fe (0.0047, 0.5038, 0.7413)
Fe (0.3240, 0.3428, 0.2482)
Fe (0.8199, 0.3511, 0.2504)
Co (0.0095, 0.9999, 0.7141)
Co (0.3363, 0.8352, 0.2509)
Co (0.5030, 0.0183, 0.7404)
Co (0.5099, 0.5091, 0.9664)
Co (0.8215, 0.8399, 0.4656)
O (0.1192, 0.7060, 0.5969)
O (0.1594, 0.1641, 0.1400)
O (0.1838, 0.1624, 0.6291)
O (0.2147, 0.6630, 0.1076)
O (0.3305, 0.8489, 0.8468)
O (0.3524, 0.3372, 0.8438)
O (0.4929, 0.5191, 0.3574)
O (0.5039, 0.9926, 0.3537)
O (0.6432, 0.6588, 0.1190)
O (0.6535, 0.2245, 0.1093)
O (0.6752, 0.7155, 0.6127)
O (0.6903, 0.1331, 0.6031)
O (0.8374, 0.8643, 0.8416)
O (0.8485, 0.3219, 0.8532)
O (0.9831, 0.5086, 0.3607)
O (0.9941, 0.9963, 0.3475)

=====

2.
# MgFe3Co5O16
Computed powder diffractogram, a wavelength of 1.5418 Å. Input: a cell relaxed with PBE+U.
Intensities are scaled so that the largest is 100.

Main lines, low angle first (15 to 90 degrees two-theta):
| 2θ/deg | d (Å) | I_rel |
| --- | --- | --- |
| 20.09 | 4.421 | 83 |
| 20.41 | 4.351 | 100 |
| 26.86 | 3.320 | 41 |
| 35.26 | 2.545 | 28 |
| 37.16 | 2.419 | 52 |
| 37.36 | 2.407 | 31 |
| 37.46 | 2.401 | 73 |
| 47.60 | 1.910 | 35 |
| 64.38 | 1.447 | 35 |
| 64.82 | 1.438 | 55 |

Atomic structure:
Cell: 5.7516 5.7516 8.8419 Å, 90.51 90.51 60.30°
Element x y z (fractional)
Mg (0.0000, 0.0000, 0.0000)
Fe (0.1627, 0.6571, 0.6629)
Fe (0.4940, 0.4940, 0.1874)
Fe (0.6571, 0.1627, 0.6629)
Co (0.1610, 0.1610, 0.6649)
Co (0.4988, 0.9890, 0.1839)
Co (0.6638, 0.6638, 0.8857)
Co (0.9890, 0.4988, 0.1839)
Co (0.9933, 0.9933, 0.3952)
O (0.9996, 0.4853, 0.7699)
O (0.1499, 0.6648, 0.2922)
O (0.1568, 0.1568, 0.2859)
O (0.2816, 0.8551, 0.5384)
O (0.3185, 0.3185, 0.0797)
O (0.3237, 0.3237, 0.5569)
O (0.3738, 0.8172, 0.0496)
O (0.4853, 0.9996, 0.7699)
O (0.4877, 0.4877, 0.7775)
O (0.6648, 0.1499, 0.2922)
O (0.6723, 0.6723, 0.2901)
O (0.8101, 0.8101, 0.0567)
O (0.8172, 0.3738, 0.0496)
O (0.8509, 0.8509, 0.5365)
O (0.8551, 0.2816, 0.5384)
O (0.9952, 0.9952, 0.7757)